Record 1
Diffraction record for Sr2RuO6. The powder diffraction line list is computed, not measured: it uses a structure optimized by DFT (PBE) and Cu Kα X-rays.
Intensities are scaled so that the largest is 100.

Main lines, in order of rising 2θ (2θ = 15–90°):
2θ = 18.1°, intensity 56
2θ = 19.0°, intensity 100
2θ = 23.0°, intensity 62
2θ = 24.8°, intensity 46
2θ = 30.9°, intensity 49
2θ = 33.3°, intensity 41
2θ = 35.2°, intensity 32
2θ = 40.3°, intensity 56
2θ = 40.5°, intensity 42
2θ = 44.8°, intensity 33

Cell and atoms:
Unit cell a=6.939 b=6.321 c=9.785 alpha=90.00 beta=132.67 gamma=90.00
Positions (direct):
1 Sr 0.069 0.179 0.398
2 Sr 0.069 0.321 0.898
3 Sr 0.931 0.679 0.102
4 Sr 0.931 0.821 0.602
5 Ru 0.500 0.000 0.000
6 Ru 0.500 0.500 0.500
7 O 0.075 0.716 0.923
8 O 0.075 0.784 0.423
9 O 0.151 0.567 0.424
10 O 0.151 0.933 0.924
11 O 0.444 0.726 0.366
12 O 0.444 0.774 0.866
13 O 0.556 0.226 0.134
14 O 0.556 0.274 0.634
15 O 0.849 0.067 0.076
16 O 0.849 0.433 0.576
17 O 0.925 0.216 0.577
18 O 0.925 0.284 0.077



Record 2
Diffraction record for Sr4Ru3O10. The powder diffraction line list is computed, not measured: it uses a structure optimized by DFT (PBE) and Cu Kα X-rays.
Intensities are scaled so that the largest is 100.

Main lines, in order of rising 2θ (2θ = 15–90°):
2θ = 31.3°, intensity 100
2θ = 32.1°, intensity 60
2θ = 43.8°, intensity 16
2θ = 46.0°, intensity 33
2θ = 55.3°, intensity 19
2θ = 56.7°, intensity 40
2θ = 65.4°, intensity 17
2θ = 67.0°, intensity 10
2θ = 76.3°, intensity 11
2θ = 83.6°, intensity 8

Cell and atoms:
Unit cell a=14.732 b=14.732 c=5.584 alpha=90.00 beta=90.00 gamma=21.85
Positions (direct):
1 Sr 0.070 0.070 0.000
2 Sr 0.204 0.204 0.000
3 Sr 0.296 0.296 0.500
4 Sr 0.430 0.430 0.500
5 Sr 0.570 0.570 0.500
6 Sr 0.704 0.704 0.500
7 Sr 0.796 0.796 0.000
8 Sr 0.930 0.930 0.000
9 Ru 0.000 0.000 0.500
10 Ru 0.140 0.140 0.500
11 Ru 0.360 0.360 0.000
12 Ru 0.500 0.500 0.000
13 Ru 0.640 0.640 0.000
14 Ru 0.860 0.860 0.500
15 O 0.069 0.069 0.500
16 O 0.077 0.644 0.217
17 O 0.144 0.577 0.717
18 O 0.198 0.802 0.802
19 O 0.211 0.211 0.500
20 O 0.289 0.289 0.000
21 O 0.302 0.698 0.302
22 O 0.356 0.923 0.217
23 O 0.423 0.856 0.717
24 O 0.431 0.431 0.000
25 O 0.569 0.569 0.000
26 O 0.577 0.144 0.283
27 O 0.644 0.077 0.783
28 O 0.698 0.302 0.698
29 O 0.711 0.711 0.000
30 O 0.789 0.789 0.500
31 O 0.802 0.198 0.198
32 O 0.856 0.423 0.283
33 O 0.923 0.356 0.783
34 O 0.931 0.931 0.500



Record 3
Diffraction record for Sr4Ru2O9. The powder diffraction line list is computed, not measured: it uses a structure optimized by DFT (PBE) and Cu Kα X-rays.
Intensities are scaled so that the largest is 100.

Main lines, in order of rising 2θ (2θ = 15–90°):
2θ = 15.1°, intensity 48
2θ = 28.6°, intensity 72
2θ = 31.8°, intensity 100
2θ = 43.2°, intensity 57
2θ = 43.8°, intensity 18
2θ = 48.5°, intensity 22
2θ = 54.6°, intensity 23
2θ = 56.6°, intensity 20
2θ = 59.1°, intensity 17
2θ = 66.4°, intensity 19

Cell and atoms:
Unit cell a=9.760 b=9.760 c=8.134 alpha=90.00 beta=90.00 gamma=120.00
Positions (direct):
1 Sr 0.000 0.656 0.000
2 Sr 0.000 0.674 0.500
3 Sr 0.014 0.335 0.253
4 Sr 0.321 0.986 0.253
5 Sr 0.326 0.326 0.500
6 Sr 0.335 0.014 0.747
7 Sr 0.344 0.344 0.000
8 Sr 0.656 0.000 0.000
9 Sr 0.665 0.679 0.253
10 Sr 0.674 0.000 0.500
11 Sr 0.679 0.665 0.747
12 Sr 0.986 0.321 0.747
13 Ru 0.000 0.000 0.344
14 Ru 0.000 0.000 0.656
15 Ru 0.333 0.667 0.096
16 Ru 0.333 0.667 0.412
17 Ru 0.667 0.333 0.588
18 Ru 0.667 0.333 0.904
19 O 0.000 0.166 0.500
20 O 0.011 0.836 0.776
21 O 0.152 0.644 0.253
22 O 0.164 0.175 0.776
23 O 0.166 0.000 0.500
24 O 0.175 0.164 0.224
25 O 0.176 0.487 0.976
26 O 0.176 0.495 0.532
27 O 0.310 0.824 0.976
28 O 0.319 0.824 0.532
29 O 0.356 0.508 0.253
30 O 0.487 0.176 0.024
31 O 0.492 0.848 0.253
32 O 0.495 0.176 0.468
33 O 0.505 0.681 0.532
34 O 0.508 0.356 0.747
35 O 0.513 0.690 0.976
36 O 0.644 0.152 0.747
37 O 0.681 0.505 0.468
38 O 0.690 0.513 0.024
39 O 0.824 0.310 0.024
40 O 0.824 0.319 0.468
41 O 0.825 0.989 0.776
42 O 0.834 0.834 0.500
43 O 0.836 0.011 0.224
44 O 0.848 0.492 0.747
45 O 0.989 0.825 0.224



Record 4
Diffraction record for Sr10TiRu4O20. The powder diffraction line list is computed, not measured: it uses a structure optimized by DFT (PBE) and Cu Kα X-rays.
Intensities are scaled so that the largest is 100.

Main lines, in order of rising 2θ (2θ = 15–90°):
2θ = 30.9°, intensity 100
2θ = 32.3°, intensity 65
2θ = 42.0°, intensity 12
2θ = 42.2°, intensity 17
2θ = 46.4°, intensity 35
2θ = 54.1°, intensity 20
2θ = 56.8°, intensity 37
2θ = 64.5°, intensity 18
2θ = 67.7°, intensity 10
2θ = 77.0°, intensity 10

Cell and atoms:
Unit cell a=32.250 b=32.250 c=32.250 alpha=173.04 beta=173.04 gamma=9.85
Positions (direct):
1 Sr 0.029 0.029 0.000
2 Sr 0.171 0.171 0.000
3 Sr 0.229 0.229 0.000
4 Sr 0.371 0.371 0.000
5 Sr 0.430 0.430 0.000
6 Sr 0.570 0.570 0.000
7 Sr 0.629 0.629 0.000
8 Sr 0.771 0.771 0.000
9 Sr 0.829 0.829 0.000
10 Sr 0.971 0.971 0.000
11 Ti 0.500 0.500 0.000
12 Ru 0.100 0.100 0.000
13 Ru 0.300 0.300 0.000
14 Ru 0.700 0.700 0.000
15 Ru 0.900 0.900 0.000
16 O 0.000 0.500 0.500
17 O 0.067 0.067 0.000
18 O 0.100 0.600 0.500
19 O 0.133 0.133 0.000
20 O 0.200 0.700 0.500
21 O 0.267 0.267 0.000
22 O 0.300 0.800 0.500
23 O 0.333 0.333 0.000
24 O 0.400 0.900 0.500
25 O 0.469 0.469 0.000
26 O 0.500 0.000 0.500
27 O 0.531 0.531 0.000
28 O 0.600 0.100 0.500
29 O 0.667 0.667 0.000
30 O 0.700 0.200 0.500
31 O 0.733 0.733 0.000
32 O 0.800 0.300 0.500
33 O 0.867 0.867 0.000
34 O 0.900 0.400 0.500
35 O 0.933 0.933 0.000